Starting from a PBE-relaxed structure, the XRD peak list of DyZn6Ir2 was simulated for Cu Kα (λ = 1.5418 Å).
Peak positions follow from Bragg's law for the DFT cell and can differ from measured ones.

Cell and atoms:
a b c (Å): 7.0067 7.0067 7.0067
angles (deg): 143.48 132.29 61.54
Positions (direct):
Dy1 0.0000 0.0000 0.0000
Zn1 0.0506 0.2989 0.7517
Zn2 0.2944 0.5000 0.7944
Zn3 0.4527 0.7011 0.7517
Zn4 0.5473 0.2989 0.2483
Zn5 0.7056 0.5000 0.2056
Zn6 0.9494 0.7011 0.2483
Ir1 0.3861 0.8861 0.5000
Ir2 0.6139 0.1139 0.5000

The 10 most intense peaks (2θ = 10–90°), low angle first:
17.29 deg, I = 23.2; 21.54 deg, I = 23.3; 27.23 deg, I = 31.5; 38.55 deg, I = 100.0; 39.63 deg, I = 69.1; 40.71 deg, I = 21.3; 41.11 deg, I = 45.7; 42.83 deg, I = 32.4; 52.71 deg, I = 18.1; 61.69 deg, I = 23.2

***

Starting from a PBE-relaxed structure, the XRD peak list of Dy3ZnIr3 was simulated for Cu Kα (λ = 1.5418 Å).
Peak positions follow from Bragg's law for the DFT cell and can differ from measured ones.

Cell and atoms:
a b c (Å): 5.4979 5.4979 13.7040
angles (deg): 90.00 90.00 135.43
Positions (direct):
Dy1 0.0184 0.9816 0.7500
Dy2 0.3014 0.6986 0.6039
Dy3 0.3014 0.6986 0.8961
Dy4 0.6986 0.3014 0.1039
Dy5 0.6986 0.3014 0.3961
Dy6 0.9816 0.0184 0.2500
Zn1 0.0000 0.0000 0.0000
Zn2 0.0000 0.0000 0.5000
Ir1 0.2622 0.7378 0.2500
Ir2 0.4088 0.5912 0.0910
Ir3 0.4088 0.5912 0.4090
Ir4 0.5912 0.4088 0.5910
Ir5 0.5912 0.4088 0.9090
Ir6 0.7378 0.2622 0.7500

The 10 most intense peaks (2θ = 10–90°), low angle first:
26.51 deg, I = 19.2; 30.32 deg, I = 15.8; 34.08 deg, I = 32.3; 35.03 deg, I = 46.0; 39.51 deg, I = 100.0; 40.59 deg, I = 17.8; 43.41 deg, I = 31.3; 60.09 deg, I = 14.2; 60.93 deg, I = 11.9; 77.04 deg, I = 11.0